Record 1
For LaPmPtAu, a DFT-relaxed cell (PBE, Alexandria) gives the computed powder XRD pattern in this record (Cu Kα (λ = 1.5418 Å)).
Kinematic intensities with the Lorentz-polarization factor, no thermal factor.

Structural model:
a b c (Å): 4.762 5.841 5.841
angles (deg): 39.46 90.00 90.00
Fractional positions:
La: 0.000 0.000 0.000
Pm: 0.500 0.274 0.274
Pt: 0.000 0.728 0.728
Au: 0.500 0.552 0.552

Principal peaks in the range 2θ = 15–90°, most intense first:
Position (°2θ), d (Å), intensity
30.53, 2.928, 100
38.49, 2.339, 89
37.78, 2.381, 62
61.01, 1.519, 31
32.57, 2.749, 30
63.77, 1.459, 24
46.03, 1.972, 21
50.72, 1.800, 18

***

Record 2
For La3Pr2Au3, a DFT-relaxed cell (PBE, Alexandria) gives the computed powder XRD pattern in this record (Cu Kα (λ = 1.5418 Å)).
Kinematic intensities with the Lorentz-polarization factor, no thermal factor.

Structural model:
a b c (Å): 11.720 11.720 11.720
angles (deg): 161.22 153.00 33.10
Fractional positions:
La: 0.000 0.000 0.000
La: 0.384 0.884 0.500
La: 0.616 0.116 0.500
Pr: 0.229 0.229 0.000
Pr: 0.771 0.771 0.000
Au: 0.118 0.618 0.500
Au: 0.500 0.500 0.000
Au: 0.882 0.382 0.500

Principal peaks in the range 2θ = 15–90°, most intense first:
Position (°2θ), d (Å), intensity
32.72, 2.737, 100
58.40, 1.580, 21
31.86, 2.809, 16
46.33, 1.960, 12
68.57, 1.369, 10
47.54, 1.913, 9
57.31, 1.608, 8
58.92, 1.567, 8

***

Record 3
For LaPrAu, a DFT-relaxed cell (PBE, Alexandria) gives the computed powder XRD pattern in this record (Cu Kα (λ = 1.5418 Å)).
Kinematic intensities with the Lorentz-polarization factor, no thermal factor.

Structural model:
a b c (Å): 7.009 7.610 7.393
angles (deg): 90.00 90.50 90.00
Fractional positions:
La: 0.071 0.249 0.000
La: 0.071 0.251 0.500
La: 0.929 0.749 0.500
La: 0.929 0.751 0.000
Pr: 0.395 0.591 0.249
Pr: 0.395 0.909 0.749
Pr: 0.605 0.091 0.251
Pr: 0.605 0.409 0.751
Au: 0.206 0.546 0.754
Au: 0.206 0.954 0.254
Au: 0.794 0.046 0.746
Au: 0.794 0.454 0.246

Principal peaks in the range 2θ = 15–90°, most intense first:
Position (°2θ), d (Å), intensity
33.81, 2.651, 100
37.72, 2.385, 49
30.49, 2.932, 49
30.67, 2.915, 44
29.31, 3.047, 39
24.08, 3.696, 37
34.80, 2.578, 32
49.30, 1.848, 30

***

Record 4
For LaPr3Au4, a DFT-relaxed cell (PBE, Alexandria) gives the computed powder XRD pattern in this record (Cu Kα (λ = 1.5418 Å)).
Kinematic intensities with the Lorentz-polarization factor, no thermal factor.

Structural model:
a b c (Å): 6.506 6.506 6.506
angles (deg): 109.47 109.47 109.47
Fractional positions:
La: 0.000 0.000 0.000
Pr: 0.000 0.500 0.500
Pr: 0.500 0.000 0.500
Pr: 0.500 0.500 0.000
Au: 0.000 0.000 0.500
Au: 0.000 0.500 0.000
Au: 0.500 0.000 0.000
Au: 0.500 0.500 0.500

Principal peaks in the range 2θ = 15–90°, most intense first:
Position (°2θ), d (Å), intensity
33.75, 2.656, 100
60.36, 1.534, 38
48.47, 1.878, 18
80.93, 1.188, 17
70.97, 1.328, 12
23.69, 3.756, 3
54.63, 1.680, 2
41.65, 2.169, 1

***

Record 5
For LaPr3Au2, a DFT-relaxed cell (PBE, Alexandria) gives the computed powder XRD pattern in this record (Cu Kα (λ = 1.5418 Å)).
Kinematic intensities with the Lorentz-polarization factor, no thermal factor.

Structural model:
a b c (Å): 5.162 9.434 7.411
angles (deg): 90.00 90.00 90.00
Fractional positions:
La: 0.000 0.076 0.000
La: 0.000 0.924 0.500
Pr: 0.000 0.338 0.645
Pr: 0.000 0.662 0.145
Pr: 0.500 0.164 0.344
Pr: 0.500 0.427 0.988
Pr: 0.500 0.573 0.488
Pr: 0.500 0.836 0.844
Au: 0.000 0.346 0.236
Au: 0.000 0.654 0.736
Au: 0.500 0.156 0.753
Au: 0.500 0.844 0.253

Principal peaks in the range 2θ = 15–90°, most intense first:
Position (°2θ), d (Å), intensity
31.19, 2.868, 100
33.36, 2.686, 81
34.76, 2.581, 65
28.32, 3.152, 60
41.53, 2.175, 32
41.65, 2.168, 30
30.68, 2.914, 24
29.68, 3.010, 24

***

Record 6
For La2Pr2RuAu2, a DFT-relaxed cell (PBE, Alexandria) gives the computed powder XRD pattern in this record (Cu Kα (λ = 1.5418 Å)).
Kinematic intensities with the Lorentz-polarization factor, no thermal factor.

Structural model:
a b c (Å): 4.068 7.687 7.711
angles (deg): 114.23 90.03 105.34
Fractional positions:
La: 0.202 0.401 0.235
La: 0.798 0.599 0.765
Pr: 0.472 0.942 0.239
Pr: 0.528 0.058 0.761
Ru: 0.000 0.000 0.000
Au: 0.123 0.248 0.564
Au: 0.877 0.752 0.436

Principal peaks in the range 2θ = 15–90°, most intense first:
Position (°2θ), d (Å), intensity
32.27, 2.774, 100
29.69, 3.009, 89
34.24, 2.619, 68
37.56, 2.394, 61
33.29, 2.691, 52
44.55, 2.034, 41
27.98, 3.189, 37
27.59, 3.234, 36